Structure and computed powder X-ray diffraction pattern of LiCeAgSn2 (a crystal structure in Alexandria, relaxed with GGA-PBE; Cu Kα).
Lines closer than 0.1° are merged.

Most intense lines, 2θ from 15° to 90°, low angle first:
d = 4.162 Å, 2θ = 21.35°, I 35.5
d = 3.130 Å, 2θ = 28.52°, I 44.9
d = 2.997 Å, 2θ = 29.81°, I 100.0
d = 2.786 Å, 2θ = 32.13°, I 79.7
d = 2.213 Å, 2θ = 40.77°, I 62.3
d = 2.186 Å, 2θ = 41.30°, I 21.9
d = 2.139 Å, 2θ = 42.25°, I 63.0
d = 1.780 Å, 2θ = 51.31°, I 44.3
d = 1.565 Å, 2θ = 59.02°, I 21.0
d = 1.538 Å, 2θ = 60.16°, I 44.9

Cell and atoms:
```
5
Lattice="-2.2134 2.2134 6.1086 2.2134 -2.2134 6.1086 2.2134 2.2134 -6.1086" Properties=species:S:1:pos:R:3 pbc="T T T"
Li 0.0000 0.0000 0.0000
Ce 2.2134 0.0000 3.0543
Ag 0.0000 0.0000 6.1086
Sn 0.0000 2.2134 1.6563
Sn 0.0000 2.2134 4.4523
```